Record 1
Pr2Y3Er9: theoretical powder XRD pattern (copper Kα), based on a PBE-relaxed structure.
Intensities are scaled so that the largest is 100.

Most intense lines, 10 to 80 degrees two-theta, low angle first:
- 29.77°, I = 30.7, (1 1 -3)
- 30.50°, I = 42.0, (-1 1 3)
- 30.84°, I = 70.5, (1 -2 2)
- 30.99°, I = 100.0, (1 1 2)
- 31.14°, I = 52.5, (1 2 -2)
- 32.96°, I = 54.1, (0 3 0)
- 33.67°, I = 31.6, (2 0 -1)
- 33.95°, I = 26.8, (-2 1 1)
- 34.89°, I = 40.1, (0 1 -4)
- 52.71°, I = 23.1, (2 3 0)

Unit cell a=5.3892 b=8.3409 c=10.6042 alpha=96.94 beta=100.56 gamma=98.48
Space group P-1 (No. 2)
One atom of each set of equivalent atoms:
Pr (0.0141, 0.4799, 0.2416) x2
Y (0.2099, 0.0954, 0.3349) x2
Y (0.5000, 0.5000, 0.0000) x1
Er (0.0186, 0.8140, 0.0665) x2
Er (0.1755, 0.7857, 0.5116) x2
Er (0.3901, 0.1936, 0.6995) x2
Er (0.4111, 0.8707, 0.8638) x2
Er (0.5000, 0.5000, 0.5000) x1

=====

Record 2
Zr9Ni11: theoretical powder XRD pattern (copper Kα), based on a PBE-relaxed structure.
Intensities are scaled so that the largest is 100.

Most intense lines, 10 to 80 degrees two-theta, low angle first:
- 35.17°, I = 17.2, (3 2 1)
- 39.79°, I = 100.0, (1 3 2)
- 40.31°, I = 45.9, (4 2 0)
- 46.64°, I = 5.2, (1 2 3)
- 56.75°, I = 7.2, (0 0 4)
- 58.32°, I = 9.9, (2 6 0)
- 71.89°, I = 10.2, (4 2 4)
- 72.93°, I = 13.7, (5 5 2)
- 74.98°, I = 6.3, (4 5 3)
- 78.49°, I = 6.9, (7 4 1)

Unit cell a=10.0059 b=10.0059 c=6.4889 alpha=90.00 beta=90.00 gamma=90.00
Space group I4/m (No. 87)
One atom of each set of equivalent atoms:
Zr (0.0000, 0.0000, 0.0000) x2
Zr (0.0849, 0.2521, 0.5000) x8
Zr (0.0906, 0.3115, 0.0000) x8
Ni (0.0000, 0.0000, 0.5000) x2
Ni (0.0000, 0.5000, 0.2500) x4
Ni (0.1190, 0.7759, 0.2053) x16

=====

Record 3
Tb3Zn3Si2: theoretical powder XRD pattern (copper Kα), based on a PBE-relaxed structure.
Intensities are scaled so that the largest is 100.

Most intense lines, 10 to 80 degrees two-theta, low angle first:
- 23.96°, I = 86.1, (0 2 3)
- 29.21°, I = 73.6, (1 1 3)
- 32.91°, I = 36.1, (0 4 0)
- 33.03°, I = 40.7, (1 3 0)
- 33.16°, I = 100.0, (1 1 4)
- 33.56°, I = 85.7, (1 3 1)
- 35.26°, I = 66.5, (0 0 6)
- 40.79°, I = 44.0, (1 3 4)
- 44.37°, I = 50.5, (2 0 0)
- 44.65°, I = 80.4, (0 4 5)

Unit cell a=4.0829 b=10.8859 c=15.2727 alpha=90.00 beta=90.00 gamma=90.00
Space group Cmcm (No. 63)
One atom of each set of equivalent atoms:
Tb (0.0000, 0.0768, 0.2500) x4
Tb (0.0000, 0.3595, 0.0917) x8
Zn (0.0000, 0.0764, 0.0557) x8
Zn (0.0000, 0.1990, 0.7500) x4
Si (0.0000, 0.3422, 0.6169) x8

=====

Question: Which formula does entry 3 have?
Answer: Tb3Zn3Si2

=====

Question: What is the formula in the third record?
Answer: Tb3Zn3Si2